Structure and computed PXRD pattern of K3Ta3B2O12 (a cell relaxed with GGA-PBE; λ = 1.5418 Å (Cu Kα)).
Intensities are scaled so that the largest is 100.

Structural model:
Cell: 8.885 8.885 3.949 Å, 90.00 90.00 120.00°
Element x y z (fractional)
K 0.000 0.404 0.000
K 0.404 0.000 0.000
K 0.596 0.596 0.000
Ta 0.000 0.753 0.500
Ta 0.247 0.247 0.500
Ta 0.753 0.000 0.500
B 0.333 0.667 0.500
B 0.667 0.333 0.500
O 0.000 0.179 0.500
O 0.000 0.737 0.000
O 0.179 0.000 0.500
O 0.188 0.685 0.500
O 0.263 0.263 0.000
O 0.315 0.503 0.500
O 0.497 0.812 0.500
O 0.503 0.315 0.500
O 0.685 0.188 0.500
O 0.737 0.000 0.000
O 0.812 0.497 0.500
O 0.821 0.821 0.500

The 10 most intense peaks (2θ from 10° to 90°), low angle first:
- 2θ 11.5, I = 61
- 2θ 20.0, I = 95
- 2θ 22.5, I = 52
- 2θ 30.3, I = 86
- 2θ 30.7, I = 100
- 2θ 32.5, I = 29
- 2θ 38.4, I = 44
- 2θ 52.9, I = 32
- 2θ 56.3, I = 36
- 2θ 57.2, I = 31

***

Structure and computed PXRD pattern of Pr5AgPt2 (a cell relaxed with GGA-PBE; λ = 1.5418 Å (Cu Kα)).
Intensities are scaled so that the largest is 100.

Structural model:
Cell: 8.955 8.955 8.955 Å, 125.78 125.78 80.25°
Element x y z (fractional)
Pr 0.000 0.000 0.000
Pr 0.024 0.524 0.825
Pr 0.199 0.024 0.500
Pr 0.301 0.801 0.825
Pr 0.476 0.301 0.500
Pr 0.500 0.500 0.000
Pr 0.524 0.699 0.500
Pr 0.699 0.199 0.175
Pr 0.801 0.976 0.500
Pr 0.976 0.476 0.175
Ag 0.250 0.250 0.000
Ag 0.750 0.750 0.000
Pt 0.132 0.368 0.500
Pt 0.368 0.868 0.236
Pt 0.632 0.132 0.764
Pt 0.868 0.632 0.500

The 10 most intense peaks (2θ from 10° to 90°), low angle first:
- 2θ 12.9, I = 23
- 2θ 31.0, I = 8
- 2θ 31.4, I = 100
- 2θ 34.2, I = 20
- 2θ 34.8, I = 51
- 2θ 41.2, I = 21
- 2θ 50.2, I = 9
- 2θ 53.6, I = 15
- 2θ 64.8, I = 16
- 2θ 65.4, I = 14

***

Structure and computed PXRD pattern of La2Er3Au4 (a cell relaxed with GGA-PBE; λ = 1.5418 Å (Cu Kα)).
Intensities are scaled so that the largest is 100.

Structural model:
Cell: 7.805 7.649 8.514 Å, 90.00 110.91 90.00°
Element x y z (fractional)
La 0.192 0.170 0.090
La 0.192 0.330 0.590
La 0.808 0.670 0.410
La 0.808 0.830 0.910
Er 0.246 0.651 0.251
Er 0.246 0.849 0.751
Er 0.500 0.000 0.500
Er 0.500 0.500 0.000
Er 0.754 0.151 0.249
Er 0.754 0.349 0.749
Au 0.098 0.550 0.879
Au 0.098 0.950 0.379
Au 0.484 0.635 0.625
Au 0.484 0.865 0.125
Au 0.516 0.135 0.875
Au 0.516 0.365 0.375
Au 0.902 0.050 0.621
Au 0.902 0.450 0.121

The 10 most intense peaks (2θ from 10° to 90°), low angle first:
- 2θ 29.1, I = 30
- 2θ 30.3, I = 21
- 2θ 31.5, I = 68
- 2θ 31.7, I = 23
- 2θ 32.9, I = 100
- 2θ 33.7, I = 89
- 2θ 37.0, I = 68
- 2θ 41.5, I = 21
- 2θ 65.5, I = 17
- 2θ 65.8, I = 19

***

Structure and computed PXRD pattern of Ce2S2Br (a cell relaxed with GGA-PBE; λ = 1.5418 Å (Cu Kα)).
Intensities are scaled so that the largest is 100.

Structural model:
Cell: 5.066 5.066 5.745 Å, 90.00 90.00 120.00°
Element x y z (fractional)
Ce 0.333 0.667 0.230
Ce 0.667 0.333 0.770
S 0.333 0.667 0.719
S 0.667 0.333 0.281
Br 0.000 0.000 0.000

The 10 most intense peaks (2θ from 10° to 90°), low angle first:
- 2θ 20.2, I = 19
- 2θ 25.5, I = 97
- 2θ 35.4, I = 100
- 2θ 37.4, I = 64
- 2θ 44.2, I = 23
- 2θ 47.9, I = 28
- 2θ 52.5, I = 24
- 2θ 57.9, I = 21
- 2θ 63.6, I = 18
- 2θ 64.9, I = 29

***

Structure and computed PXRD pattern of PdRh2W (a cell relaxed with GGA-PBE; λ = 1.5418 Å (Cu Kα)).
Intensities are scaled so that the largest is 100.

Structural model:
Cell: 2.764 3.825 5.609 Å, 90.00 90.00 90.00°
Element x y z (fractional)
Pd 0.000 0.000 0.000
Rh 0.500 0.500 0.256
Rh 0.500 0.500 0.744
W 0.000 0.000 0.500

The 10 most intense peaks (2θ from 10° to 90°), low angle first:
- 2θ 15.8, I = 12
- 2θ 39.9, I = 100
- 2θ 40.3, I = 98
- 2θ 46.1, I = 66
- 2θ 47.5, I = 30
- 2θ 68.4, I = 40
- 2θ 80.9, I = 25
- 2θ 81.6, I = 25
- 2θ 83.2, I = 12
- 2θ 83.5, I = 12

***

Structure and computed PXRD pattern of Tl2CuPt (a cell relaxed with GGA-PBE; λ = 1.5418 Å (Cu Kα)).
Intensities are scaled so that the largest is 100.

Structural model:
Cell: 3.069 3.718 7.653 Å, 90.00 90.00 90.00°
Element x y z (fractional)
Tl 0.000 0.000 0.000
Tl 0.500 0.500 0.368
Cu 0.500 0.500 0.752
Pt 0.000 0.000 0.614

The 10 most intense peaks (2θ from 10° to 90°), low angle first:
- 2θ 26.7, I = 44
- 2θ 31.4, I = 29
- 2θ 33.6, I = 80
- 2θ 35.2, I = 30
- 2θ 37.6, I = 59
- 2θ 38.0, I = 100
- 2θ 43.0, I = 24
- 2θ 49.0, I = 24
- 2θ 52.8, I = 39
- 2θ 63.3, I = 26

***

Structure and computed PXRD pattern of AlCoPd2 (a cell relaxed with GGA-PBE; λ = 1.5418 Å (Cu Kα)).
Intensities are scaled so that the largest is 100.

Structural model:
Cell: 3.917 3.917 3.622 Å, 90.00 90.00 90.00°
Element x y z (fractional)
Al 0.000 0.000 0.000
Co 0.500 0.500 0.000
Pd 0.000 0.500 0.500
Pd 0.500 0.000 0.500

The 10 most intense peaks (2θ from 10° to 90°), low angle first:
- 2θ 24.6, I = 17
- 2θ 32.3, I = 17
- 2θ 41.0, I = 100
- 2θ 46.4, I = 35
- 2θ 50.4, I = 14
- 2θ 67.6, I = 11
- 2θ 70.9, I = 19
- 2θ 82.3, I = 25
- 2θ 88.3, I = 11
- 2θ 89.0, I = 10

***

Structure and computed PXRD pattern of Y2Mg3Zn2 (a cell relaxed with GGA-PBE; λ = 1.5418 Å (Cu Kα)).
Intensities are scaled so that the largest is 100.

Structural model:
Cell: 5.618 5.618 7.185 Å, 97.40 97.40 46.50°
Element x y z (fractional)
Y 0.128 0.128 0.355
Y 0.872 0.872 0.645
Mg 0.185 0.185 0.862
Mg 0.500 0.500 0.000
Mg 0.815 0.815 0.138
Zn 0.416 0.416 0.352
Zn 0.584 0.584 0.648

The 10 most intense peaks (2θ from 10° to 90°), low angle first:
- 2θ 12.4, I = 100
- 2θ 25.8, I = 40
- 2θ 32.5, I = 78
- 2θ 33.2, I = 45
- 2θ 34.2, I = 59
- 2θ 34.4, I = 44
- 2θ 36.9, I = 31
- 2θ 39.6, I = 37
- 2θ 40.7, I = 47
- 2θ 44.3, I = 32

***

Structure and computed PXRD pattern of Rb2Tl6CdPt (a cell relaxed with GGA-PBE; λ = 1.5418 Å (Cu Kα)).
Intensities are scaled so that the largest is 100.

Structural model:
Cell: 14.024 14.024 14.024 Å, 32.08 32.08 32.08°
Element x y z (fractional)
Rb 0.104 0.104 0.104
Rb 0.277 0.277 0.277
Rb 0.723 0.723 0.723
Rb 0.896 0.896 0.896
Tl 0.083 0.665 0.665
Tl 0.220 0.220 0.649
Tl 0.220 0.649 0.220
Tl 0.335 0.335 0.917
Tl 0.335 0.917 0.335
Tl 0.351 0.780 0.780
Tl 0.649 0.220 0.220
Tl 0.665 0.083 0.665
Tl 0.665 0.665 0.083
Tl 0.780 0.351 0.780
Tl 0.780 0.780 0.351
Tl 0.917 0.335 0.335
Cd 0.427 0.427 0.427
Cd 0.573 0.573 0.573
Pt 0.000 0.000 0.000
Pt 0.500 0.500 0.500

The 10 most intense peaks (2θ from 10° to 90°), low angle first:
- 2θ 13.3, I = 63
- 2θ 17.3, I = 34
- 2θ 28.0, I = 36
- 2θ 28.9, I = 66
- 2θ 30.9, I = 100
- 2θ 32.1, I = 25
- 2θ 35.7, I = 86
- 2θ 36.5, I = 63
- 2θ 45.4, I = 29
- 2θ 46.9, I = 48

***

Structure and computed PXRD pattern of LiDy2BO5 (a cell relaxed with GGA-PBE; λ = 1.5418 Å (Cu Kα)).
Intensities are scaled so that the largest is 100.

Structural model:
Cell: 6.680 6.680 9.492 Å, 90.00 90.00 153.13°
Element x y z (fractional)
Li 0.190 0.810 0.500
Li 0.810 0.190 0.000
Dy 0.124 0.876 0.147
Dy 0.138 0.862 0.800
Dy 0.862 0.138 0.300
Dy 0.876 0.124 0.647
B 0.442 0.558 0.880
B 0.558 0.442 0.380
O 0.029 0.971 0.459
O 0.295 0.705 0.162
O 0.336 0.664 0.846
O 0.344 0.656 0.484
O 0.497 0.503 0.252
O 0.503 0.497 0.752
O 0.656 0.344 0.984
O 0.664 0.336 0.346
O 0.705 0.295 0.662
O 0.971 0.029 0.959

The 10 most intense peaks (2θ from 10° to 90°), low angle first:
- 2θ 16.5, I = 100
- 2θ 18.7, I = 62
- 2θ 27.5, I = 73
- 2θ 29.6, I = 49
- 2θ 31.4, I = 100
- 2θ 35.6, I = 39
- 2θ 40.5, I = 36
- 2θ 41.3, I = 87
- 2θ 46.0, I = 36
- 2θ 54.4, I = 36

***

Structure and computed PXRD pattern of ZnHg3 (a cell relaxed with GGA-PBE; λ = 1.5418 Å (Cu Kα)).
Intensities are scaled so that the largest is 100.

Structural model:
Cell: 8.858 8.858 8.858 Å, 23.28 23.28 23.28°
Element x y z (fractional)
Zn 0.000 0.000 0.000
Hg 0.257 0.257 0.257
Hg 0.500 0.500 0.500
Hg 0.743 0.743 0.743

The 10 most intense peaks (2θ from 10° to 90°), low angle first:
- 2θ 32.1, I = 100
- 2θ 40.4, I = 51
- 2θ 42.0, I = 14
- 2θ 51.1, I = 28
- 2θ 61.6, I = 16
- 2θ 65.1, I = 10
- 2θ 67.0, I = 12
- 2θ 68.2, I = 20
- 2θ 84.1, I = 14
- 2θ 89.0, I = 12

***

Structure and computed PXRD pattern of Li4SiPt3 (a cell relaxed with GGA-PBE; λ = 1.5418 Å (Cu Kα)).
Intensities are scaled so that the largest is 100.

Structural model:
Cell: 6.812 6.812 6.812 Å, 61.52 61.52 61.52°
Element x y z (fractional)
Li 0.059 0.842 0.343
Li 0.158 0.941 0.657
Li 0.226 0.226 0.226
Li 0.343 0.059 0.842
Li 0.657 0.158 0.941
Li 0.774 0.774 0.774
Li 0.842 0.343 0.059
Li 0.941 0.657 0.158
Si 0.399 0.399 0.399
Si 0.601 0.601 0.601
Pt 0.000 0.392 0.608
Pt 0.236 0.500 0.764
Pt 0.392 0.608 0.000
Pt 0.500 0.764 0.236
Pt 0.608 0.000 0.392
Pt 0.764 0.236 0.500

The 10 most intense peaks (2θ from 10° to 90°), low angle first:
- 2θ 15.6, I = 34
- 2θ 25.6, I = 100
- 2θ 30.1, I = 12
- 2θ 32.6, I = 24
- 2θ 39.9, I = 27
- 2θ 41.9, I = 65
- 2θ 45.1, I = 14
- 2θ 48.5, I = 15
- 2θ 55.2, I = 12
- 2θ 56.1, I = 12

***

Structure and computed PXRD pattern of LuZr3F15 (a cell relaxed with GGA-PBE; λ = 1.5418 Å (Cu Kα)).
Intensities are scaled so that the largest is 100.

Structural model:
Cell: 8.148 8.148 8.143 Å, 100.28 100.28 100.15°
Element x y z (fractional)
Lu 0.177 0.823 0.750
Lu 0.823 0.177 0.250
Zr 0.249 0.751 0.250
Zr 0.250 0.322 0.674
Zr 0.322 0.250 0.174
Zr 0.678 0.750 0.826
Zr 0.750 0.678 0.326
Zr 0.751 0.249 0.750
F 0.010 0.278 0.781
F 0.042 0.252 0.468
F 0.061 0.184 0.153
F 0.156 0.544 0.682
F 0.184 0.061 0.653
F 0.222 0.492 0.221
F 0.223 0.722 0.994
F 0.252 0.042 0.968
F 0.278 0.010 0.281
F 0.278 0.777 0.506
F 0.318 0.350 0.946
F 0.350 0.318 0.446
F 0.456 0.844 0.818
F 0.467 0.533 0.750
F 0.492 0.222 0.721
F 0.508 0.778 0.279
F 0.533 0.467 0.250
F 0.544 0.156 0.182
F 0.650 0.682 0.554
F 0.682 0.650 0.054
F 0.722 0.223 0.494
F 0.722 0.990 0.719
F 0.748 0.958 0.032
F 0.777 0.278 0.006
F 0.778 0.508 0.779
F 0.816 0.939 0.347
F 0.844 0.456 0.318
F 0.939 0.816 0.847
F 0.958 0.748 0.532
F 0.990 0.722 0.219

The 10 most intense peaks (2θ from 10° to 90°), low angle first:
- 2θ 22.7, I = 100
- 2θ 23.1, I = 42
- 2θ 24.7, I = 16
- 2θ 27.6, I = 28
- 2θ 28.6, I = 14
- 2θ 30.8, I = 34
- 2θ 44.8, I = 24
- 2θ 45.3, I = 20
- 2θ 50.0, I = 15
- 2θ 50.5, I = 18